Record 1
Dy3As2O2: theoretical powder diffractogram (Cu Kα, 1.54184 Å), based on a structure optimized by DFT (GGA-PBE).

Largest 10 diffraction maxima, in order of rising 2θ, 2θ from 10° to 90°:
| d_spacing | I/Imax |
| --- | --- |
| 6.374 | 43 |
| 3.368 | 97 |
| 2.992 | 75 |
| 2.693 | 100 |
| 2.567 | 77 |
| 2.414 | 43 |
| 2.280 | 30 |
| 2.274 | 33 |
| 1.949 | 32 |
| 1.633 | 39 |

Crystal structure
```
14
Lattice="12.003 0.000 0.000 0.000 3.898 0.000 -2.502 0.000 6.374" Properties=species:S:1:pos:R:3 pbc="T T T"
Dy 0.000 0.000 0.000
Dy 0.315 1.949 4.910
Dy 3.185 0.000 1.463
Dy 6.002 1.949 0.000
Dy 6.316 0.000 4.910
Dy 9.186 1.949 1.463
As 0.650 1.949 1.998
As 2.849 0.000 4.375
As 6.652 0.000 1.998
As 8.851 1.949 4.375
O -0.336 0.000 5.760
O 3.836 1.949 0.613
O 5.665 1.949 5.760
O 9.837 0.000 0.613
```

=====

Record 2
DyAsO: theoretical powder diffractogram (Cu Kα, 1.54184 Å), based on a structure optimized by DFT (GGA-PBE).

Largest 10 diffraction maxima, in order of rising 2θ, 2θ from 10° to 90°:
| d_spacing | I/Imax |
| --- | --- |
| 3.671 | 33 |
| 2.990 | 100 |
| 2.848 | 33 |
| 2.772 | 33 |
| 2.722 | 21 |
| 2.449 | 21 |
| 2.401 | 54 |
| 2.028 | 24 |
| 1.835 | 21 |
| 1.440 | 23 |

Crystal structure
```
12
Lattice="4.801 0.000 0.000 0.000 4.056 0.000 0.000 0.000 11.392" Properties=species:S:1:pos:R:3 pbc="T T T"
Dy 0.931 1.014 1.219
Dy 1.469 3.042 6.915
Dy 3.331 1.014 4.477
Dy 3.870 3.042 10.173
As 0.751 3.042 3.759
As 1.649 1.014 9.455
As 3.152 3.042 1.937
As 4.049 1.014 7.633
O 0.054 3.042 0.817
O 2.346 1.014 6.513
O 2.455 3.042 4.879
O 4.746 1.014 10.575
```

=====

Record 3
DyPaAsO2: theoretical powder diffractogram (Cu Kα, 1.54184 Å), based on a structure optimized by DFT (GGA-PBE).

Largest 10 diffraction maxima, in order of rising 2θ, 2θ from 10° to 90°:
| d_spacing | I/Imax |
| --- | --- |
| 3.628 | 29 |
| 3.026 | 9 |
| 2.768 | 100 |
| 2.689 | 46 |
| 2.010 | 18 |
| 1.902 | 22 |
| 1.614 | 15 |
| 1.574 | 10 |
| 1.567 | 37 |
| 1.210 | 9 |

Crystal structure
```
10
Lattice="3.803 0.000 0.000 0.000 3.803 0.000 0.000 0.000 12.106" Properties=species:S:1:pos:R:3 pbc="T T T"
Dy 0.000 0.000 0.000
Dy 1.902 1.902 6.053
Pa 0.000 0.000 8.591
Pa 1.902 1.902 2.538
As 0.000 0.000 4.259
As 1.902 1.902 10.312
O 0.000 1.902 1.295
O 0.000 1.902 7.348
O 1.902 0.000 1.295
O 1.902 0.000 7.348
```

=====

Record 4
RbDyAs2O8: theoretical powder diffractogram (Cu Kα, 1.54184 Å), based on a structure optimized by DFT (GGA-PBE).

Largest 10 diffraction maxima, in order of rising 2θ, 2θ from 10° to 90°:
| d_spacing | I/Imax |
| --- | --- |
| 8.094 | 17 |
| 5.070 | 45 |
| 4.297 | 90 |
| 3.163 | 100 |
| 2.927 | 71 |
| 2.148 | 43 |
| 1.865 | 16 |
| 1.732 | 34 |
| 1.664 | 28 |
| 1.328 | 15 |

Crystal structure
```
12
Lattice="5.854 0.000 0.000 -2.927 5.070 0.000 0.000 0.000 8.094" Properties=species:S:1:pos:R:3 pbc="T T T"
Rb 0.000 0.000 0.000
Dy 0.000 0.000 4.047
As 0.000 3.380 5.962
As 2.927 1.690 2.131
O -0.016 1.757 5.433
O -1.398 4.205 5.433
O 0.000 3.380 7.692
O 1.513 0.892 2.660
O 1.414 4.178 5.433
O 2.927 1.690 0.402
O 4.325 0.865 2.660
O 2.943 3.313 2.660
```

=====

Record 5
DyAs12Os4: theoretical powder diffractogram (Cu Kα, 1.54184 Å), based on a structure optimized by DFT (GGA-PBE).

Largest 10 diffraction maxima, in order of rising 2θ, 2θ from 10° to 90°:
| d_spacing | I/Imax |
| --- | --- |
| 4.309 | 48 |
| 3.047 | 100 |
| 2.725 | 93 |
| 2.303 | 47 |
| 2.154 | 19 |
| 1.927 | 73 |
| 1.759 | 91 |
| 1.690 | 36 |
| 1.363 | 32 |
| 1.152 | 20 |

Crystal structure
```
17
Lattice="-4.309 4.309 4.309 4.309 -4.309 4.309 4.309 4.309 -4.309" Properties=species:S:1:pos:R:3 pbc="T T T"
Dy 0.000 0.000 0.000
As 2.984 1.279 0.000
As 5.634 1.279 0.000
As 4.309 -1.325 3.030
As 3.030 4.309 -1.325
As 1.279 0.000 2.984
As 0.000 2.984 1.279
As 4.309 1.325 3.030
As 3.030 4.309 1.325
As 1.279 0.000 5.634
As 0.000 5.634 1.279
As -1.325 3.030 4.309
As 1.325 3.030 4.309
Os 2.154 2.154 -2.154
Os 2.154 -2.154 2.154
Os -2.154 2.154 2.154
Os 2.154 2.154 2.154
```

=====

Record 6
Dy7As5P: theoretical powder diffractogram (Cu Kα, 1.54184 Å), based on a structure optimized by DFT (GGA-PBE).

Largest 10 diffraction maxima, in order of rising 2θ, 2θ from 10° to 90°:
| d_spacing | I/Imax |
| --- | --- |
| 3.339 | 25 |
| 3.258 | 27 |
| 3.045 | 99 |
| 2.922 | 83 |
| 2.818 | 84 |
| 2.730 | 31 |
| 2.034 | 100 |
| 2.030 | 38 |
| 1.957 | 33 |
| 1.689 | 36 |

Crystal structure
```
26
Lattice="2.030 -6.744 0.000 2.030 6.744 0.000 0.000 0.000 23.885" Properties=species:S:1:pos:R:3 pbc="T T T"
Dy 2.030 5.976 17.914
Dy 2.030 4.896 0.863
Dy 2.030 4.896 11.079
Dy 2.030 2.480 16.211
Dy 2.030 2.480 19.617
Dy 2.030 1.185 2.543
Dy 2.030 1.185 9.400
Dy 2.030 -1.185 14.486
Dy 2.030 -1.185 21.342
Dy 2.030 -2.480 4.268
Dy 2.030 -2.480 7.675
Dy 2.030 -4.896 12.806
Dy 2.030 -4.896 23.022
Dy 2.030 -5.976 5.971
As 2.030 6.122 3.534
As 2.030 6.122 8.409
As 2.030 3.689 13.720
As 2.030 3.689 22.108
As 2.030 0.000 0.000
As 2.030 0.000 11.943
As 2.030 -3.689 1.777
As 2.030 -3.689 10.165
As 2.030 -6.122 15.477
As 2.030 -6.122 20.351
P 2.030 2.726 5.971
P 2.030 -2.726 17.914
```

=====

Record 7
DyAs2P2Pd7: theoretical powder diffractogram (Cu Kα, 1.54184 Å), based on a structure optimized by DFT (GGA-PBE).

Largest 10 diffraction maxima, in order of rising 2θ, 2θ from 10° to 90°:
| d_spacing | I/Imax |
| --- | --- |
| 2.608 | 65 |
| 2.519 | 77 |
| 2.498 | 21 |
| 2.351 | 64 |
| 2.228 | 45 |
| 2.093 | 23 |
| 2.049 | 100 |
| 2.026 | 34 |
| 1.887 | 19 |
| 1.500 | 19 |

Crystal structure
```
12
Lattice="2.928 -2.887 0.000 2.928 2.887 0.000 -1.583 0.000 12.158" Properties=species:S:1:pos:R:3 pbc="T T T"
Dy 0.000 0.000 0.000
As -0.268 0.000 4.165
As 4.542 0.000 7.993
P 1.380 0.000 8.719
P 2.894 0.000 3.439
Pd 1.481 1.453 2.128
Pd 0.738 0.000 6.433
Pd 2.793 1.453 10.030
Pd 2.928 0.000 0.000
Pd 1.481 -1.453 2.128
Pd 3.536 0.000 5.725
Pd 2.793 -1.453 10.030
```

=====

Record 8
Dy8As3PS4: theoretical powder diffractogram (Cu Kα, 1.54184 Å), based on a structure optimized by DFT (GGA-PBE).

Largest 10 diffraction maxima, in order of rising 2θ, 2θ from 10° to 90°:
| d_spacing | I/Imax |
| --- | --- |
| 3.275 | 40 |
| 3.254 | 13 |
| 2.832 | 100 |
| 2.007 | 37 |
| 1.997 | 36 |
| 1.708 | 13 |
| 1.637 | 19 |
| 1.269 | 16 |
| 1.264 | 16 |
| 1.157 | 12 |

Crystal structure
```
16
Lattice="4.014 2.318 6.507 -4.014 2.318 6.507 0.000 -4.635 6.507" Properties=species:S:1:pos:R:3 pbc="T T T"
Dy -2.042 -1.179 11.399
Dy 0.000 -2.358 8.123
Dy -2.042 1.179 8.123
Dy 0.000 0.000 4.865
Dy 0.000 0.000 14.657
Dy 2.042 -1.179 11.399
Dy 0.000 2.358 11.399
Dy 2.042 1.179 8.123
As -2.007 -1.159 6.507
As -2.007 1.159 13.015
As 0.000 2.318 6.507
P 0.000 0.000 0.000
S -4.014 0.000 9.761
S -2.007 1.159 3.254
S 2.007 1.159 3.254
S 0.000 0.000 9.761
```